The following is a computed PXRD pattern of NdSm6Tm3. It was derived from DFT lattice parameters and positions (GGA-PBE), using Cu Kα.
Intensities are scaled so that the largest is 1000.

Cell and atoms:
```
data_NdSm6Tm3
_space_group_name_H-M_alt 'C m c 21'
_space_group_IT_number 36
_cell_length_a 11.015
_cell_length_b 19.179
_cell_length_c 6.259
_cell_angle_alpha 90.00
_cell_angle_beta 90.00
_cell_angle_gamma 90.00
loop_
_space_group_symop_operation_xyz
'x,y,z'
'-x,-y,z+1/2'
'-x,y,z'
'x,-y,z+1/2'
'x+1/2,y+1/2,z'
'-x+1/2,-y+1/2,z+1/2'
'-x+1/2,y+1/2,z'
'x+1/2,-y+1/2,z+1/2'
loop_
_atom_site_label
_atom_site_fract_x
_atom_site_fract_y
_atom_site_fract_z
Nd1 0.000 0.198 0.000
Sm1 0.000 0.040 0.772
Sm2 0.000 0.281 0.524
Sm3 0.167 0.458 0.423
Sm4 0.238 0.291 0.249
Tm1 0.000 0.386 0.962
Tm2 0.172 0.113 0.342
```

Top 10 peaks for 2θ from 10° to 90°, most intense first:
hkl 0 0 2, 2θ = 28.5°, I 1000
hkl 0 6 1, 2θ = 31.4°, I 893
hkl 3 3 1, 2θ = 31.5°, I 531
hkl 2 2 2, 2θ = 34.3°, I 469
hkl 1 1 2, 2θ = 30.0°, I 256
hkl 2 0 2, 2θ = 32.9°, I 229
hkl 3 5 0, 2θ = 33.8°, I 222
hkl 6 6 1, 2θ = 59.9°, I 217
hkl 3 3 0, 2θ = 28.0°, I 208
hkl 3 3 2, 2θ = 40.4°, I 181